Entry 1:
Starting from a PBE+U-relaxed structure, the X-ray diffraction stick pattern of Na5LiMn2P2C2O14 was simulated for λ = 1.5418 Å (Cu Kα).
No peak broadening, texture or thermal motion is included.

Main lines, low angle first (10 to 90 degrees two-theta):
2θ/deg, d_spacing, I_rel, index
19.75, 4.496, 45, 1 0 -2
26.23, 3.398, 32, 2 0 -2
26.36, 3.381, 87, 0 2 0
33.16, 2.702, 100, 2 2 0
34.55, 2.596, 86, 0 0 4
42.37, 2.133, 34, 2 1 -4
48.67, 1.871, 53, 4 2 0
54.26, 1.690, 24, 0 4 0
57.94, 1.592, 21, 2 3 -4
65.95, 1.416, 19, 0 4 4

Crystal structure
a = 8.982 Å, b = 6.762 Å, c = 10.387 Å
α = 90.00°, β = 90.04°, γ = 90.00°
Space group P2_1 (No. 4)
One atom of each set of equivalent atoms:
Na 0.083 0.000 0.371
Na 0.084 0.004 0.870
Na 0.256 0.751 0.626
Na 0.258 0.249 0.127
Na 0.259 0.750 0.126
Li 0.274 0.232 0.635
Mn 0.360 0.497 0.364
Mn 0.363 0.497 0.857
P 0.413 0.998 0.402
P 0.413 0.999 0.896
C 0.055 0.507 0.383
C 0.061 0.499 0.882
O 0.083 0.999 0.107
O 0.089 0.024 0.608
O 0.118 0.499 0.270
O 0.123 0.500 0.769
O 0.138 0.496 0.485
O 0.145 0.497 0.984
O 0.318 0.814 0.365
O 0.320 0.181 0.850
O 0.321 0.813 0.856
O 0.329 0.182 0.350
O 0.423 0.014 0.552
O 0.426 0.481 0.653
O 0.429 0.003 0.046
O 0.430 0.501 0.165



Entry 2:
Starting from a PBE+U-relaxed structure, the X-ray diffraction stick pattern of Na5LiMn2P2C2O14 was simulated for λ = 1.5418 Å (Cu Kα).
No peak broadening, texture or thermal motion is included.

Main lines, low angle first (10 to 90 degrees two-theta):
2θ/deg, d_spacing, I_rel, index
19.70, 4.508, 37, 1 0 -1
26.23, 3.398, 100, 0 2 0
32.84, 2.727, 29, 0 2 -2
33.08, 2.708, 14, -1 2 1
33.32, 2.689, 17, 0 2 2
34.42, 2.606, 46, 2 0 0
34.54, 2.597, 24, 1 0 -3
48.28, 1.885, 23, 0 2 -4
48.97, 1.860, 14, 0 2 4
54.00, 1.698, 30, 0 4 0

Crystal structure
a = 5.211 Å, b = 6.793 Å, c = 8.979 Å
α = 90.84°, β = 90.15°, γ = 90.20°
Space group P1 (No. 1)
One atom of each set of equivalent atoms:
Na 0.000 0.000 0.000
Na 0.000 0.269 0.343
Na 0.488 0.525 0.165
Na 0.497 0.268 0.828
Na 0.997 0.762 0.342
Li 0.458 0.796 0.797
Mn 0.025 0.520 0.728
Mn 0.469 0.015 0.445
P 0.546 0.521 0.501
P 0.954 0.013 0.673
C 0.507 0.004 0.138
C 0.980 0.514 0.025
O 0.019 0.202 0.765
O 0.066 0.018 0.513
O 0.067 0.838 0.762
O 0.207 0.509 0.965
O 0.283 0.008 0.203
O 0.428 0.532 0.660
O 0.460 0.331 0.415
O 0.462 0.698 0.405
O 0.525 0.993 0.994
O 0.654 0.991 0.661
O 0.713 0.012 0.221
O 0.778 0.522 0.939
O 0.844 0.521 0.516
O 0.954 0.511 0.168



Entry 3:
Starting from a PBE+U-relaxed structure, the X-ray diffraction stick pattern of Na5LiMn2P2C2O14 was simulated for λ = 1.5418 Å (Cu Kα).
No peak broadening, texture or thermal motion is included.

Main lines, low angle first (10 to 90 degrees two-theta):
2θ/deg, d_spacing, I_rel, index
19.81, 4.482, 38, 1 0 -2
26.32, 3.386, 100, 0 2 0
33.17, 2.701, 83, 2 2 0
34.67, 2.588, 70, 0 0 4
42.49, 2.127, 28, 2 1 -4
48.73, 1.869, 45, 4 2 0
54.17, 1.693, 36, 0 4 0
58.00, 1.590, 17, 2 3 -4
61.18, 1.515, 17, 4 2 -4
65.96, 1.416, 16, 0 4 4

Crystal structure
a = 8.966 Å, b = 6.769 Å, c = 10.348 Å
α = 90.00°, β = 90.07°, γ = 90.00°
Space group Pc (No. 7)
One atom of each set of equivalent atoms:
Na 0.000 0.000 0.000
Na 0.166 0.498 0.240
Na 0.343 0.252 0.496
Na 0.343 0.252 0.996
Na 0.826 0.248 0.743
Li 0.817 0.243 0.241
Mn 0.447 0.000 0.231
Mn 0.724 0.499 0.009
P 0.498 0.496 0.270
P 0.675 0.003 0.471
C 0.024 0.499 0.487
C 0.140 0.005 0.252
O 0.168 0.500 0.477
O 0.204 0.001 0.639
O 0.224 0.001 0.855
O 0.402 0.315 0.228
O 0.409 0.317 0.726
O 0.512 0.499 0.420
O 0.515 0.000 0.029
O 0.658 0.487 0.212
O 0.662 0.008 0.320
O 0.766 0.182 0.014
O 0.766 0.186 0.516
O 0.940 0.497 0.384
O 0.961 0.498 0.101
O 0.996 0.016 0.262



Entry 4:
Starting from a PBE+U-relaxed structure, the X-ray diffraction stick pattern of Na5LiMn2P2C2O14 was simulated for λ = 1.5418 Å (Cu Kα).
No peak broadening, texture or thermal motion is included.

Main lines, low angle first (10 to 90 degrees two-theta):
2θ/deg, d_spacing, I_rel, index
25.89, 3.442, 33, 1 0 -2
25.99, 3.428, 100, 0 2 0
32.72, 2.737, 56, 1 2 -1
32.87, 2.725, 80, 0 2 2
32.99, 2.715, 44, 1 2 1
34.17, 2.624, 40, 1 0 -3
34.54, 2.596, 69, 2 0 0
37.44, 2.402, 40, 1 1 3
48.45, 1.879, 47, 0 2 4
53.46, 1.714, 37, 0 4 0

Crystal structure
a = 5.195 Å, b = 6.856 Å, c = 8.988 Å
α = 90.00°, β = 91.48°, γ = 90.00°
Space group Pm (No. 6)
One atom of each set of equivalent atoms:
Na 0.000 0.000 0.000
Na 0.020 0.254 0.660
Na 0.507 0.248 0.172
Li 0.532 0.500 0.806
Mn 0.543 0.000 0.557
Mn 0.985 0.500 0.280
P 0.049 0.000 0.328
P 0.478 0.500 0.507
C 0.047 0.500 0.962
C 0.495 0.000 0.854
O 0.148 0.500 0.831
O 0.178 0.500 0.487
O 0.203 0.500 0.079
O 0.293 0.000 0.764
O 0.350 0.000 0.346
O 0.468 0.000 0.997
O 0.562 0.320 0.602
O 0.594 0.500 0.349
O 0.723 0.000 0.797
O 0.799 0.500 0.978
O 0.934 0.000 0.485
O 0.963 0.183 0.236